Structure and simulated powder X-ray diffraction pattern of Te6Mo3WS2 (a structure optimized by DFT (PBE); Cu Kα (weighted mean of Kα1 and Kα2)).

```
data_Te6Mo3WS2
_symmetry_space_group_name_H-M 'P 3 m 1'
_symmetry_Int_Tables_number 156
_symmetry_space_group_name_Hall 'P 3 -2"'
_cell_length_a 3.4507
_cell_length_b 3.4507
_cell_length_c 39.2708
_cell_angle_alpha 90.00
_cell_angle_beta 90.00
_cell_angle_gamma 120.00
loop_
_atom_site_label
_atom_site_type_symbol
_atom_site_fract_x
_atom_site_fract_y
_atom_site_fract_z
Te1 Te 0.0000 0.0000 0.0000
Te2 Te 0.0000 0.0000 0.0942
Te3 Te 0.0000 0.0000 0.3757
Te4 Te 0.0000 0.0000 0.4699
Te5 Te 0.3333 0.6667 0.8121
Te6 Te 0.3333 0.6667 0.9063
Mo1 Mo 0.0000 0.0000 0.8591
Mo2 Mo 0.3333 0.6667 0.0471
Mo3 Mo 0.3333 0.6667 0.4228
W1 W 0.0000 0.0000 0.2349
S1 S 0.3333 0.6667 0.1969
S2 S 0.3333 0.6667 0.2729
```

Largest 12 diffraction maxima, in order of falling intensity, 15 to 90 degrees two-theta:
d/Å	I/Imax
2.553	100
2.986	66
2.124	57
1.725	35
1.268	17
2.045	17
1.429	16
1.101	14
2.378	14
1.339	13
2.793	12
1.585	12

Structure and simulated powder X-ray diffraction pattern of CeGe2Pt2 (a structure optimized by DFT (PBE); Cu Kα (weighted mean of Kα1 and Kα2)).

```
data_CeGe2Pt2
_symmetry_space_group_name_H-M 'I 4/m m m'
_symmetry_Int_Tables_number 139
_symmetry_space_group_name_Hall '-I 4 2'
_cell_length_a 4.3954
_cell_length_b 4.3954
_cell_length_c 10.0159
_cell_angle_alpha 90.00
_cell_angle_beta 90.00
_cell_angle_gamma 90.00
loop_
_atom_site_label
_atom_site_type_symbol
_atom_site_fract_x
_atom_site_fract_y
_atom_site_fract_z
Ce1 Ce 0.0000 0.0000 0.0000
Ge1 Ge 0.0000 0.0000 0.3758
Pt1 Pt 0.0000 0.5000 0.2500
```

Largest 12 diffraction maxima, in order of falling intensity, 15 to 90 degrees two-theta:
d/Å	I/Imax
2.641	100
2.198	49
5.008	26
1.339	25
1.950	24
2.659	22
1.554	17
1.471	16
1.652	13
1.694	11
2.504	11
1.215	10

Structure and simulated powder X-ray diffraction pattern of BiAsO5 (a structure optimized by DFT (PBE); Cu Kα (weighted mean of Kα1 and Kα2)).

```
data_BiAsO5
_symmetry_space_group_name_H-M 'P 21 21 21'
_symmetry_Int_Tables_number 19
_symmetry_space_group_name_Hall 'P 2ac 2ab'
_cell_length_a 6.7114
_cell_length_b 7.8495
_cell_length_c 8.6221
_cell_angle_alpha 90.00
_cell_angle_beta 90.00
_cell_angle_gamma 90.00
loop_
_atom_site_label
_atom_site_type_symbol
_atom_site_fract_x
_atom_site_fract_y
_atom_site_fract_z
Bi1 Bi 0.2471 0.2491 0.4959
As1 As 0.0164 0.8596 0.3328
O1 O 0.0010 0.3755 0.5935
O2 O 0.0024 0.5698 0.0749
O3 O 0.0537 0.7072 0.4620
O4 O 0.2100 0.3611 0.2691
O5 O 0.2164 0.8994 0.2064
```

Largest 12 diffraction maxima, in order of falling intensity, 15 to 90 degrees two-theta:
d/Å	I/Imax
5.804	100
2.904	91
3.925	31
2.699	28
2.195	25
1.677	22
4.311	22
2.007	19
2.505	19
2.648	16
5.296	16
2.551	15

Structure and simulated powder X-ray diffraction pattern of SrU2As2O20 (a structure optimized by DFT (PBE); Cu Kα (weighted mean of Kα1 and Kα2)).

```
data_SrU2As2O20
_symmetry_space_group_name_H-M 'P 1 c 1'
_symmetry_Int_Tables_number 7
_symmetry_space_group_name_Hall 'P -2yc'
_cell_length_a 7.3244
_cell_length_b 7.3365
_cell_length_c 15.4756
_cell_angle_alpha 90.00
_cell_angle_beta 98.49
_cell_angle_gamma 90.00
loop_
_atom_site_label
_atom_site_type_symbol
_atom_site_fract_x
_atom_site_fract_y
_atom_site_fract_z
Sr1 Sr 0.0000 0.1752 0.0000
U1 U 0.2767 0.2559 0.8102
U2 U 0.7384 0.2545 0.1902
As1 As 0.2544 0.2440 0.2448
As2 As 0.7612 0.2447 0.7534
O1 O 0.0289 0.1902 0.4739
O2 O 0.0515 0.2515 0.1707
O3 O 0.1721 0.4822 0.0307
O4 O 0.2465 0.2572 0.6919
O5 O 0.2490 0.0540 0.3096
O6 O 0.2745 0.4376 0.3080
O7 O 0.2891 0.2545 0.9313
O8 O 0.4041 0.0457 0.5442
O9 O 0.4169 0.2025 0.5079
O10 O 0.4324 0.2311 0.1844
O11 O 0.5769 0.2524 0.4928
O12 O 0.5862 0.2309 0.8167
O13 O 0.6674 0.0484 0.9428
O14 O 0.7173 0.2539 0.0693
O15 O 0.7364 0.4356 0.6895
O16 O 0.7662 0.0547 0.6898
O17 O 0.7777 0.2542 0.3085
O18 O 0.9241 0.4963 0.9505
O19 O 0.9642 0.2542 0.8276
O20 O 0.9828 0.1794 0.5479
```

Largest 12 diffraction maxima, in order of falling intensity, 15 to 90 degrees two-theta:
d/Å	I/Imax
3.668	100
3.617	100
4.189	82
3.478	81
4.912	66
4.737	65
3.308	54
2.524	52
3.100	49
2.576	44
1.941	40
2.825	39

Structure and simulated powder X-ray diffraction pattern of NiGe2N2 (a structure optimized by DFT (PBE); Cu Kα (weighted mean of Kα1 and Kα2)).

```
data_NiGe2N2
_symmetry_space_group_name_H-M 'P n m a'
_symmetry_Int_Tables_number 62
_symmetry_space_group_name_Hall '-P 2ac 2n'
_cell_length_a 6.7205
_cell_length_b 3.0696
_cell_length_c 12.0259
_cell_angle_alpha 90.00
_cell_angle_beta 90.00
_cell_angle_gamma 90.00
loop_
_atom_site_label
_atom_site_type_symbol
_atom_site_fract_x
_atom_site_fract_y
_atom_site_fract_z
Ni1 Ni 0.2216 0.2500 0.1268
Ge1 Ge 0.0141 0.7500 0.3491
Ge2 Ge 0.1315 0.7500 0.9050
N1 N 0.1671 0.2500 0.2826
N2 N 0.2271 0.7500 0.4677
```

Largest 12 diffraction maxima, in order of falling intensity, 15 to 90 degrees two-theta:
d/Å	I/Imax
2.532	100
3.006	63
2.227	52
1.649	26
2.202	23
2.099	22
3.443	21
1.535	17
2.265	17
1.956	17
2.437	16
1.463	15

Structure and simulated powder X-ray diffraction pattern of NiBi6Rh (a structure optimized by DFT (PBE); Cu Kα (weighted mean of Kα1 and Kα2)).

```
data_NiBi6Rh
_symmetry_space_group_name_H-M 'P m c 21'
_symmetry_Int_Tables_number 26
_symmetry_space_group_name_Hall 'P 2c -2'
_cell_length_a 4.2191
_cell_length_b 11.5766
_cell_length_c 8.9930
_cell_angle_alpha 90.00
_cell_angle_beta 90.00
_cell_angle_gamma 90.00
loop_
_atom_site_label
_atom_site_type_symbol
_atom_site_fract_x
_atom_site_fract_y
_atom_site_fract_z
Ni1 Ni 0.0000 0.2293 0.0000
Bi1 Bi 0.0000 0.1378 0.3043
Bi2 Bi 0.0000 0.1520 0.7150
Bi3 Bi 0.0000 0.4298 0.1928
Bi4 Bi 0.5000 0.0732 0.0071
Bi5 Bi 0.5000 0.3489 0.4847
Bi6 Bi 0.5000 0.3588 0.8985
Rh1 Rh 0.5000 0.2700 0.1916
```

Largest 12 diffraction maxima, in order of falling intensity, 15 to 90 degrees two-theta:
d/Å	I/Imax
2.109	100
3.077	96
2.847	88
2.662	79
3.188	48
2.928	44
2.715	43
1.591	41
1.653	39
2.391	29
1.681	28
1.539	28

Structure and simulated powder X-ray diffraction pattern of HoCu4Au (a structure optimized by DFT (PBE); Cu Kα (weighted mean of Kα1 and Kα2)).

```
data_HoCu4Au
_symmetry_space_group_name_H-M 'F -4 3 m'
_symmetry_Int_Tables_number 216
_symmetry_space_group_name_Hall 'F -4 2 3'
_cell_length_a 7.1388
_cell_length_b 7.1388
_cell_length_c 7.1388
_cell_angle_alpha 90.00
_cell_angle_beta 90.00
_cell_angle_gamma 90.00
loop_
_atom_site_label
_atom_site_type_symbol
_atom_site_fract_x
_atom_site_fract_y
_atom_site_fract_z
Ho1 Ho 0.0000 0.0000 0.0000
Cu1 Cu 0.1242 0.1242 0.6242
Au1 Au 0.2500 0.2500 0.2500
```

Largest 12 diffraction maxima, in order of falling intensity, 15 to 90 degrees two-theta:
d/Å	I/Imax
2.152	100
2.524	66
1.374	31
1.457	25
1.262	22
4.122	16
2.061	14
1.129	11
1.638	4
1.207	4
1.785	1
3.569	1

Structure and simulated powder X-ray diffraction pattern of MgTe4MoW3Se2S2 (a structure optimized by DFT (PBE); Cu Kα (weighted mean of Kα1 and Kα2)).

```
data_MgTe4MoW3Se2S2
_symmetry_space_group_name_H-M 'P 3 m 1'
_symmetry_Int_Tables_number 156
_symmetry_space_group_name_Hall 'P 3 -2"'
_cell_length_a 3.3917
_cell_length_b 3.3917
_cell_length_c 46.0893
_cell_angle_alpha 90.00
_cell_angle_beta 90.00
_cell_angle_gamma 120.00
loop_
_atom_site_label
_atom_site_type_symbol
_atom_site_fract_x
_atom_site_fract_y
_atom_site_fract_z
Mg1 Mg 0.0000 0.0000 0.0000
Te1 Te 0.3333 0.6667 0.2442
Te2 Te 0.3333 0.6667 0.3260
Te3 Te 0.6667 0.3333 0.6806
Te4 Te 0.6667 0.3333 0.7621
Mo1 Mo 0.3333 0.6667 0.7213
W1 W 0.3333 0.6667 0.1037
W2 W 0.6667 0.3333 0.2851
W3 W 0.6667 0.3333 0.9019
Se1 Se 0.6667 0.3333 0.0675
Se2 Se 0.6667 0.3333 0.1397
S1 S 0.3333 0.6667 0.8694
S2 S 0.3333 0.6667 0.9346
```

Largest 12 diffraction maxima, in order of falling intensity, 15 to 90 degrees two-theta:
d/Å	I/Imax
2.262	100
2.617	84
2.936	60
1.696	42
2.477	40
2.799	35
2.193	32
2.123	30
1.668	23
1.357	20
1.930	18
1.656	17

Structure and simulated powder X-ray diffraction pattern of PmMgAu2 (a structure optimized by DFT (PBE); Cu Kα (weighted mean of Kα1 and Kα2)).

```
data_PmMgAu2
_symmetry_space_group_name_H-M 'F m -3 m'
_symmetry_Int_Tables_number 225
_symmetry_space_group_name_Hall '-F 4 2 3'
_cell_length_a 7.0804
_cell_length_b 7.0804
_cell_length_c 7.0804
_cell_angle_alpha 90.00
_cell_angle_beta 90.00
_cell_angle_gamma 90.00
loop_
_atom_site_label
_atom_site_type_symbol
_atom_site_fract_x
_atom_site_fract_y
_atom_site_fract_z
Pm1 Pm 0.0000 0.0000 0.0000
Mg1 Mg 0.0000 0.0000 0.5000
Au1 Au 0.2500 0.2500 0.2500
```

Largest 12 diffraction maxima, in order of falling intensity, 15 to 90 degrees two-theta:
d/Å	I/Imax
2.503	100
1.445	37
3.540	19
1.770	18
1.120	17
1.252	12
4.088	11
1.583	8
2.044	6
2.135	6
1.180	4
1.624	2